No. 1
Structure and calculated XRD peak list of Ba2PuBr6 (a crystal structure in Alexandria, relaxed with GGA-PBE; Cu Ka).
Lines closer than 0.1° are merged.

Crystal structure
Cell: 7.4181 8.6419 12.6612 Å, 90.00 123.88 90.00°
Space group P2_1/c (No. 14)
Inequivalent atoms, fractional coordinates:
Ba 0.2167 0.1095 0.2533
Pu 0.5000 0.0000 0.0000
Br 0.1040 0.1695 0.9375
Br 0.2806 0.6921 0.9396
Br 0.3663 0.0418 0.7345

Principal peaks in the range 10 to 80 degrees two-theta, sorted by position:
index, Position (°2θ), Rel. int.
0 1 1, 13.3, 100
1 0 -2, 14.9, 57
1 1 -3, 23.5, 49
1 2 0, 25.2, 58
2 1 -1, 27.3, 93
1 0 -4, 28.5, 52
1 1 2, 29.6, 62
2 2 -2, 31.8, 43
1 3 -1, 33.4, 75
3 1 -1, 41.2, 43

---

No. 2
Structure and calculated XRD peak list of Rb2BaBr7 (a crystal structure in Alexandria, relaxed with GGA-PBE; Cu Ka).
Lines closer than 0.1° are merged.

Crystal structure
Cell: 9.0990 9.0990 11.3636 Å, 90.00 90.00 90.00°
Space group I4/mmm (No. 139)
Inequivalent atoms, fractional coordinates:
Rb 0.0000 0.5000 0.2500
Ba 0.0000 0.0000 0.0000
Br 0.0000 0.0000 0.2796
Br 0.0000 0.0000 0.5000
Br 0.2412 0.2412 0.0000

Principal peaks in the range 10 to 80 degrees two-theta, sorted by position:
index, Position (°2θ), Rel. int.
1 1 0, 13.8, 29
1 1 2, 20.9, 29
2 0 2, 25.1, 66
2 2 0, 27.7, 100
0 0 4, 31.5, 33
4 0 0, 39.6, 37
2 2 4, 42.4, 56
4 2 2, 47.5, 21
4 0 4, 51.5, 31
6 2 4, 73.8, 21

---

No. 3
Structure and calculated XRD peak list of RbBa4Br8 (a crystal structure in Alexandria, relaxed with GGA-PBE; Cu Ka).
Lines closer than 0.1° are merged.

Crystal structure
Cell: 7.9208 7.9208 7.9208 Å, 90.00 90.00 90.00°
Space group Pm-3m (No. 221)
Inequivalent atoms, fractional coordinates:
Rb 0.0000 0.0000 0.0000
Ba 0.0000 0.0000 0.5000
Ba 0.5000 0.5000 0.5000
Br 0.2486 0.2486 0.2486

Principal peaks in the range 10 to 80 degrees two-theta, sorted by position:
index, Position (°2θ), Rel. int.
1 1 1, 19.4, 27
2 2 0, 32.0, 100
3 1 1, 37.7, 15
4 0 0, 45.8, 18
3 3 1, 50.2, 7
4 2 2, 57.0, 37
5 1 1, 60.8, 5
4 4 0, 66.8, 12
5 3 1, 70.3, 5
6 2 0, 76.0, 16

---

No. 4
Structure and calculated XRD peak list of Rb4BaBr6 (a crystal structure in Alexandria, relaxed with GGA-PBE; Cu Ka).
Lines closer than 0.1° are merged.

Crystal structure
Cell: 13.8667 13.8667 17.0517 Å, 90.00 90.00 120.00°
Space group R-3c (No. 167, hexagonal axes)
Inequivalent atoms, fractional coordinates:
Rb 0.0000 0.0000 0.2500
Rb 0.0000 0.3719 0.2500
Ba 0.0000 0.0000 0.0000
Br 0.0309 0.1993 0.3899

Principal peaks in the range 10 to 80 degrees two-theta, sorted by position:
index, Position (°2θ), Rel. int.
0 1 2, 12.8, 36
3 0 0, 22.2, 37
0 2 4, 25.6, 30
1 3 1, 27.3, 51
2 1 4, 28.7, 100
2 2 3, 30.2, 92
4 1 0, 34.2, 25
3 2 4, 38.9, 34
6 0 0, 45.3, 23
3 5 4, 57.9, 28

---

No. 5
Structure and calculated XRD peak list of Rb2BaBr (a crystal structure in Alexandria, relaxed with GGA-PBE; Cu Ka).
Lines closer than 0.1° are merged.

Crystal structure
Cell: 12.7540 12.7540 6.5424 Å, 90.00 90.00 90.00°
Space group I-42d (No. 122)
Inequivalent atoms, fractional coordinates:
Rb 0.1350 0.7500 0.1250
Ba 0.0000 0.0000 0.5000
Br 0.0000 0.0000 0.0000

Principal peaks in the range 10 to 80 degrees two-theta, sorted by position:
index, Position (°2θ), Rel. int.
2 0 0, 13.9, 53
2 2 0, 19.7, 98
2 1 1, 20.7, 100
3 1 0, 22.0, 35
4 0 0, 28.0, 35
1 1 2, 29.0, 85
4 2 0, 31.4, 91
3 1 2, 35.3, 74
5 1 2, 45.7, 35
5 3 2, 50.2, 36

---

No. 6
Structure and calculated XRD peak list of Rb2BaSeBr6 (a crystal structure in Alexandria, relaxed with GGA-PBE; Cu Ka).
Lines closer than 0.1° are merged.

Crystal structure
Cell: 8.8347 8.8347 11.4042 Å, 90.00 90.00 90.00°
Space group I4/mmm (No. 139)
Inequivalent atoms, fractional coordinates:
Rb 0.0000 0.5000 0.2500
Ba 0.0000 0.0000 0.0000
Se 0.0000 0.0000 0.5000
Br 0.0000 0.0000 0.2780
Br 0.2492 0.2492 0.5000

Principal peaks in the range 10 to 80 degrees two-theta, sorted by position:
index, Position (°2θ), Rel. int.
1 1 0, 14.2, 29
1 1 2, 21.1, 29
2 0 2, 25.5, 75
2 2 0, 28.6, 100
0 0 4, 31.4, 36
4 0 0, 40.9, 38
2 2 4, 43.0, 59
4 2 2, 48.8, 24
4 0 4, 52.4, 39
6 2 4, 75.8, 22